For PmCo3P3, a crystal structure in Alexandria, relaxed with GGA-PBE gives the theoretical powder X-ray diffraction pattern in this record (Cu Kα, 1.54184 Å).

The 10 most intense peaks (10 to 90 degrees two-theta), sorted by position:
Position (°2θ)  Rel. int.
16.69  22
18.42  19
31.19  100
39.32  50
41.03  18
49.59  44
50.42  15
59.76  15
63.50  12
66.26  23

Structural model:
Cell lengths 7.555, 7.555, 7.555 Å; angles 49.85, 49.85, 49.85 degrees
Element x y z (fractional)
Pm: 0.167 0.167 0.167
Pm: 0.833 0.833 0.833
Co: 0.028 0.717 0.380
Co: 0.283 0.620 0.972
Co: 0.380 0.028 0.717
Co: 0.620 0.972 0.283
Co: 0.717 0.380 0.028
Co: 0.972 0.283 0.620
P: 0.090 0.399 0.720
P: 0.280 0.910 0.601
P: 0.399 0.720 0.090
P: 0.601 0.280 0.910
P: 0.720 0.090 0.399
P: 0.910 0.601 0.280